Simulated X-ray powder pattern of Bi2Se3 for Cu Kα (λ = 1.5418 Å), from the PBE geometry in the Materials Project.
Intensities are scaled so that the largest is 100.

Atomic structure:
Lattice parameters (Å, degrees): 9.872 9.872 13.685 90.00 90.00 90.00
Element x y z (fractional)
Bi: 0.013 0.513 0.250
Bi: 0.013 0.987 0.250
Bi: 0.250 0.250 0.027
Bi: 0.250 0.250 0.527
Bi: 0.250 0.750 0.506
Bi: 0.250 0.750 0.994
Bi: 0.487 0.513 0.250
Bi: 0.487 0.987 0.250
Bi: 0.513 0.013 0.750
Bi: 0.513 0.487 0.750
Bi: 0.750 0.250 0.006
Bi: 0.750 0.250 0.494
Bi: 0.750 0.750 0.473
Bi: 0.750 0.750 0.973
Bi: 0.987 0.013 0.750
Bi: 0.987 0.487 0.750
Se: 0.016 0.750 0.387
Se: 0.030 0.750 0.851
Se: 0.046 0.250 0.879
Se: 0.250 0.046 0.379
Se: 0.250 0.454 0.379
Se: 0.250 0.516 0.113
Se: 0.250 0.530 0.649
Se: 0.250 0.970 0.649
Se: 0.250 0.984 0.113
Se: 0.454 0.250 0.879
Se: 0.470 0.750 0.851
Se: 0.484 0.750 0.387
Se: 0.516 0.250 0.613
Se: 0.530 0.250 0.149
Se: 0.546 0.750 0.121
Se: 0.750 0.016 0.887
Se: 0.750 0.030 0.351
Se: 0.750 0.470 0.351
Se: 0.750 0.484 0.887
Se: 0.750 0.546 0.621
Se: 0.750 0.954 0.621
Se: 0.954 0.750 0.121
Se: 0.970 0.250 0.149
Se: 0.984 0.250 0.613

Top 10 peaks for 10 to 90 degrees two-theta, by angle:
4.003 Å, 22.2°, I = 100; 2.468 Å, 36.4°, I = 33; 2.443 Å, 36.8°, I = 60; 2.101 Å, 43.1°, I = 37; 2.071 Å, 43.7°, I = 14; 1.745 Å, 52.4°, I = 10; 1.600 Å, 57.6°, I = 9; 1.586 Å, 58.2°, I = 11; 1.420 Å, 65.8°, I = 16; 1.343 Å, 70.1°, I = 9

Simulated X-ray powder pattern of Pr3Nb for Cu Kα (λ = 1.5418 Å), from the PBE geometry in the Materials Project.
Intensities are scaled so that the largest is 100.

Atomic structure:
Lattice parameters (Å, degrees): 5.976 5.976 5.976 130.76 130.76 72.20
Element x y z (fractional)
Pr: 0.000 0.000 0.000
Pr: 0.250 0.750 0.500
Pr: 0.750 0.250 0.500
Nb: 0.500 0.500 0.000

Top 10 peaks for 10 to 90 degrees two-theta, by angle:
2.845 Å, 31.4°, I = 100; 2.490 Å, 36.1°, I = 35; 2.414 Å, 37.2°, I = 16; 1.761 Å, 51.9°, I = 12; 1.733 Å, 52.8°, I = 23; 1.497 Å, 62.0°, I = 28; 1.464 Å, 63.6°, I = 13; 1.422 Å, 65.6°, I = 12; 1.140 Å, 85.1°, I = 6; 1.126 Å, 86.5°, I = 11

Simulated X-ray powder pattern of Kr for Cu Kα (λ = 1.5418 Å), from the PBE geometry in the Materials Project.
Intensities are scaled so that the largest is 100.

Atomic structure:
Lattice parameters (Å, degrees): 4.342 4.342 4.342 109.47 109.47 109.47
Element x y z (fractional)
Kr: 0.000 0.000 0.000

Top 10 peaks for 10 to 90 degrees two-theta, by angle:
3.545 Å, 25.1°, I = 100; 2.507 Å, 35.8°, I = 19; 2.047 Å, 44.3°, I = 42; 1.772 Å, 51.6°, I = 13; 1.585 Å, 58.2°, I = 18; 1.447 Å, 64.4°, I = 4; 1.340 Å, 70.3°, I = 21; 1.253 Å, 75.9°, I = 2; 1.182 Å, 81.5°, I = 10; 1.121 Å, 86.9°, I = 6

Simulated X-ray powder pattern of Dy2CdPd2 for Cu Kα (λ = 1.5418 Å), from the PBE geometry in the Materials Project.
Intensities are scaled so that the largest is 100.

Atomic structure:
Lattice parameters (Å, degrees): 7.709 7.709 3.755 90.00 90.00 90.00
Element x y z (fractional)
Dy: 0.172 0.328 0.000
Dy: 0.328 0.828 0.000
Dy: 0.672 0.172 0.000
Dy: 0.828 0.672 0.000
Cd: 0.000 0.000 0.500
Cd: 0.500 0.500 0.500
Pd: 0.129 0.629 0.500
Pd: 0.371 0.129 0.500
Pd: 0.629 0.871 0.500
Pd: 0.871 0.371 0.500

Top 10 peaks for 10 to 90 degrees two-theta, by angle:
2.726 Å, 32.9°, I = 9; 2.689 Å, 33.3°, I = 30; 2.539 Å, 35.3°, I = 100; 2.438 Å, 36.9°, I = 42; 1.877 Å, 48.5°, I = 14; 1.674 Å, 54.9°, I = 14; 1.487 Å, 62.4°, I = 17; 1.402 Å, 66.7°, I = 9; 1.338 Å, 70.4°, I = 12; 1.176 Å, 81.9°, I = 9

Simulated X-ray powder pattern of SrCd4Pt2 for Cu Kα (λ = 1.5418 Å), from the PBE geometry in the Materials Project.
Intensities are scaled so that the largest is 100.

Atomic structure:
Lattice parameters (Å, degrees): 8.402 8.402 4.535 90.00 90.00 90.00
Element x y z (fractional)
Sr: 0.000 0.000 0.000
Sr: 0.500 0.500 0.500
Cd: 0.091 0.344 0.500
Cd: 0.156 0.591 0.000
Cd: 0.344 0.091 0.500
Cd: 0.409 0.844 0.000
Cd: 0.591 0.156 0.000
Cd: 0.656 0.909 0.500
Cd: 0.844 0.409 0.000
Cd: 0.909 0.656 0.500
Pt: 0.219 0.781 0.500
Pt: 0.281 0.281 0.000
Pt: 0.719 0.719 0.000
Pt: 0.781 0.219 0.500

Top 10 peaks for 10 to 90 degrees two-theta, by angle:
4.201 Å, 21.1°, I = 29; 2.971 Å, 30.1°, I = 22; 2.893 Å, 30.9°, I = 55; 2.657 Å, 33.7°, I = 18; 2.485 Å, 36.1°, I = 44; 2.292 Å, 39.3°, I = 100; 2.268 Å, 39.7°, I = 38; 2.038 Å, 44.5°, I = 31; 1.516 Å, 61.1°, I = 23; 1.314 Å, 71.8°, I = 17

Simulated X-ray powder pattern of CsUCuTe3 for Cu Kα (λ = 1.5418 Å), from the PBE geometry in the Materials Project.
Intensities are scaled so that the largest is 100.

Atomic structure:
Lattice parameters (Å, degrees): 8.954 8.954 11.296 90.00 90.00 151.74
Element x y z (fractional)
Cs: 0.243 0.757 0.750
Cs: 0.757 0.243 0.250
U: 0.500 0.500 0.000
U: 0.500 0.500 0.500
Cu: 0.033 0.967 0.250
Cu: 0.967 0.033 0.750
Te: 0.117 0.883 0.059
Te: 0.117 0.883 0.441
Te: 0.443 0.557 0.250
Te: 0.557 0.443 0.750
Te: 0.883 0.117 0.559
Te: 0.883 0.117 0.941

Top 10 peaks for 10 to 90 degrees two-theta, by angle:
8.683 Å, 10.2°, I = 100; 4.735 Å, 18.7°, I = 31; 3.489 Å, 25.5°, I = 50; 3.452 Å, 25.8°, I = 33; 3.334 Å, 26.7°, I = 73; 2.968 Å, 30.1°, I = 43; 2.821 Å, 31.7°, I = 49; 2.450 Å, 36.7°, I = 57; 2.186 Å, 41.3°, I = 32; 1.896 Å, 48.0°, I = 26

Simulated X-ray powder pattern of Ce2Ni2Sn for Cu Kα (λ = 1.5418 Å), from the PBE geometry in the Materials Project.
Intensities are scaled so that the largest is 100.

Atomic structure:
Lattice parameters (Å, degrees): 5.449 5.449 5.449 132.84 115.56 83.60
Element x y z (fractional)
Ce: 0.202 0.202 0.000
Ce: 0.798 0.798 0.000
Ni: 0.212 0.500 0.712
Ni: 0.788 0.500 0.288
Sn: 0.500 0.000 0.500

Top 10 peaks for 10 to 90 degrees two-theta, by angle:
2.905 Å, 30.8°, I = 18; 2.646 Å, 33.9°, I = 100; 2.455 Å, 36.6°, I = 27; 2.363 Å, 38.1°, I = 12; 2.317 Å, 38.9°, I = 48; 2.180 Å, 41.4°, I = 28; 1.630 Å, 56.5°, I = 16; 1.575 Å, 58.6°, I = 13; 1.349 Å, 69.7°, I = 22; 1.277 Å, 74.3°, I = 13

Simulated X-ray powder pattern of MgAg3As2O8 for Cu Kα (λ = 1.5418 Å), from the PBE geometry in the Materials Project.
Intensities are scaled so that the largest is 100.

Atomic structure:
Lattice parameters (Å, degrees): 6.199 6.235 6.245 87.18 86.99 86.72
Element x y z (fractional)
Mg: 0.000 0.000 0.000
Ag: 0.184 0.479 0.704
Ag: 0.483 0.703 0.188
Ag: 0.700 0.180 0.492
As: 0.214 0.216 0.216
As: 0.685 0.683 0.689
O: 0.029 0.041 0.339
O: 0.040 0.341 0.029
O: 0.344 0.031 0.043
O: 0.365 0.368 0.368
O: 0.479 0.578 0.855
O: 0.576 0.848 0.486
O: 0.839 0.833 0.836
O: 0.848 0.476 0.581

Top 10 peaks for 10 to 90 degrees two-theta, by angle:
4.292 Å, 20.7°, I = 100; 4.268 Å, 20.8°, I = 51; 3.780 Å, 23.5°, I = 43; 2.838 Å, 31.5°, I = 76; 2.827 Å, 31.6°, I = 38; 2.733 Å, 32.8°, I = 35; 2.717 Å, 33.0°, I = 37; 2.522 Å, 35.6°, I = 31; 2.512 Å, 35.7°, I = 41; 1.731 Å, 52.9°, I = 29